# 1
Calculated powder diffractogram
Compound: HoTmNp
Radiation: Cu Kα (weighted mean of Kα1 and Kα2)
Structure: DFT lattice parameters and positions (GGA-PBE)
Kinematic intensities with the Lorentz-polarization factor, no thermal factor.

The 6 most intense peaks (10 to 90 degrees two-theta), in order of rising 2θ:
| h k l | 2θ/deg | d (Å) | intensity |
| --- | --- | --- | --- |
| 1 1 1 | 20.73 | 4.286 | 24 |
| 2 0 0 | 23.98 | 3.712 | 20 |
| 2 2 0 | 34.16 | 2.624 | 100 |
| 4 0 0 | 49.09 | 1.856 | 18 |
| 4 2 2 | 61.17 | 1.515 | 38 |
| 6 2 0 | 82.12 | 1.174 | 17 |

Cell and atoms:
```
data_HoTmNp
_chemical_formula_sum 'Ho4 Tm4 Np4'
_cell_length_a 7.423
_cell_length_b 7.423
_cell_length_c 7.423
_cell_angle_alpha 90.00
_cell_angle_beta 90.00
_cell_angle_gamma 90.00
_symmetry_space_group_name_H-M 'F -4 3 m'
_symmetry_Int_Tables_number 216
_symmetry_space_group_name_Hall 'F -4 2 3'
loop_
_atom_site_label
_atom_site_type_symbol
_atom_site_fract_x
_atom_site_fract_y
_atom_site_fract_z
Ho1 Ho 0.000 0.000 0.000
Tm1 Tm 0.250 0.250 0.250
Np1 Np 0.000 0.000 0.500
```


# 2
Calculated powder diffractogram
Compound: Ho5O
Radiation: Cu Kα (weighted mean of Kα1 and Kα2)
Structure: DFT lattice parameters and positions (GGA-PBE)
Kinematic intensities with the Lorentz-polarization factor, no thermal factor.

The 6 most intense peaks (10 to 90 degrees two-theta), in order of rising 2θ:
| h k l | 2θ/deg | d (Å) | intensity |
| --- | --- | --- | --- |
| 1 0 0 | 16.64 | 5.326 | 84 |
| 0 0 2 | 30.07 | 2.972 | 50 |
| 1 1 1 | 32.79 | 2.731 | 88 |
| 1 0 2 | 34.56 | 2.595 | 28 |
| 2 0 1 | 36.99 | 2.430 | 100 |
| 1 1 3 | 55.12 | 1.666 | 35 |

Cell and atoms:
```
data_Ho5O
_chemical_formula_sum 'Ho5 O1'
_cell_length_a 6.1504
_cell_length_b 6.1504
_cell_length_c 5.9441
_cell_angle_alpha 90.00
_cell_angle_beta 90.00
_cell_angle_gamma 120.00
_symmetry_space_group_name_H-M 'P 6/m m m'
_symmetry_Int_Tables_number 191
_symmetry_space_group_name_Hall '-P 6 2'
loop_
_atom_site_label
_atom_site_type_symbol
_atom_site_fract_x
_atom_site_fract_y
_atom_site_fract_z
Ho1 Ho 0.0000 0.5000 0.0000
Ho2 Ho 0.3333 0.6667 0.5000
O1 O 0.0000 0.0000 0.5000
```


# 3
Calculated powder diffractogram
Compound: Ho2O3
Radiation: Cu Kα (weighted mean of Kα1 and Kα2)
Structure: DFT lattice parameters and positions (GGA-PBE)
Kinematic intensities with the Lorentz-polarization factor, no thermal factor.

The 6 most intense peaks (10 to 90 degrees two-theta), in order of rising 2θ:
| h k l | 2θ/deg | d (Å) | intensity |
| --- | --- | --- | --- |
| 2 1 1 | 20.66 | 4.298 | 10 |
| 2 2 2 | 29.39 | 3.039 | 100 |
| 4 0 0 | 34.06 | 2.632 | 35 |
| 4 4 0 | 48.94 | 1.861 | 38 |
| 6 2 2 | 58.11 | 1.587 | 31 |
| 6 6 2 | 79.33 | 1.208 | 9 |

Cell and atoms:
```
data_Ho2O3
_chemical_formula_sum 'Ho32 O48'
_cell_length_a 10.529
_cell_length_b 10.529
_cell_length_c 10.529
_cell_angle_alpha 90.00
_cell_angle_beta 90.00
_cell_angle_gamma 90.00
_symmetry_space_group_name_H-M 'I a -3'
_symmetry_Int_Tables_number 206
_symmetry_space_group_name_Hall '-I 2b 2c 3'
loop_
_atom_site_label
_atom_site_type_symbol
_atom_site_fract_x
_atom_site_fract_y
_atom_site_fract_z
Ho1 Ho 0.000 0.000 0.000
Ho2 Ho 0.000 0.250 0.283
O1 O 0.098 0.141 0.630
```


# 4
Calculated powder diffractogram
Compound: Ho3P2O
Radiation: Cu Kα (weighted mean of Kα1 and Kα2)
Structure: DFT lattice parameters and positions (GGA-PBE)
Kinematic intensities with the Lorentz-polarization factor, no thermal factor.

The 6 most intense peaks (10 to 90 degrees two-theta), in order of rising 2θ:
| h k l | 2θ/deg | d (Å) | intensity |
| --- | --- | --- | --- |
| 0 1 1 | 28.77 | 3.103 | 79 |
| 0 0 3 | 29.15 | 3.064 | 23 |
| 1 0 2 | 33.46 | 2.678 | 100 |
| 1 1 0 | 47.80 | 1.903 | 37 |
| 0 1 4 | 48.28 | 1.885 | 32 |
| 1 1 3 | 56.97 | 1.617 | 22 |

Cell and atoms:
```
data_Ho3P2O
_chemical_formula_sum 'Ho3 P2 O1'
_cell_length_a 3.8060
_cell_length_b 3.8060
_cell_length_c 9.1911
_cell_angle_alpha 90.00
_cell_angle_beta 90.00
_cell_angle_gamma 120.00
_symmetry_space_group_name_H-M 'P -3 m 1'
_symmetry_Int_Tables_number 164
_symmetry_space_group_name_Hall '-P 3 2"'
loop_
_atom_site_label
_atom_site_type_symbol
_atom_site_fract_x
_atom_site_fract_y
_atom_site_fract_z
Ho1 Ho 0.0000 0.0000 0.0000
Ho2 Ho 0.3333 0.6667 0.3537
P1 P 0.3333 0.6667 0.8179
O1 O 0.0000 0.0000 0.5000
```


# 5
Calculated powder diffractogram
Compound: HoPaPO
Radiation: Cu Kα (weighted mean of Kα1 and Kα2)
Structure: DFT lattice parameters and positions (GGA-PBE)
Kinematic intensities with the Lorentz-polarization factor, no thermal factor.

The 6 most intense peaks (10 to 90 degrees two-theta), in order of rising 2θ:
| h k l | 2θ/deg | d (Å) | intensity |
| --- | --- | --- | --- |
| 0 1 0 | 11.26 | 7.856 | 30 |
| 1 1 0 | 24.36 | 3.654 | 54 |
| 0 2 1 | 28.00 | 3.187 | 50 |
| 1 1 1 | 29.43 | 3.035 | 100 |
| 0 0 2 | 32.86 | 2.726 | 46 |
| 1 3 0 | 40.81 | 2.211 | 28 |

Cell and atoms:
```
data_HoPaPO
_chemical_formula_sum 'Ho2 Pa2 P2 O2'
_cell_length_a 4.127
_cell_length_b 7.856
_cell_length_c 5.452
_cell_angle_alpha 90.00
_cell_angle_beta 90.00
_cell_angle_gamma 90.00
_symmetry_space_group_name_H-M 'P m c 21'
_symmetry_Int_Tables_number 26
loop_
_symmetry_equiv_pos_as_xyz
'x,y,z'
'-x,-y,z+1/2'
'-x,y,z'
'x,-y,z+1/2'
loop_
_atom_site_label
_atom_site_type_symbol
_atom_site_fract_x
_atom_site_fract_y
_atom_site_fract_z
Ho1 Ho 0.000 0.209 0.000
Pa1 Pa 0.500 0.374 0.500
P1 P 0.000 0.142 0.500
O1 O 0.500 0.327 0.998
```


# 6
Calculated powder diffractogram
Compound: HoSiPO
Radiation: Cu Kα (weighted mean of Kα1 and Kα2)
Structure: DFT lattice parameters and positions (GGA-PBE)
Kinematic intensities with the Lorentz-polarization factor, no thermal factor.

The 6 most intense peaks (10 to 90 degrees two-theta), in order of rising 2θ:
| h k l | 2θ/deg | d (Å) | intensity |
| --- | --- | --- | --- |
| 0 1 1 | 19.90 | 4.462 | 100 |
| 0 0 2 | 26.41 | 3.374 | 55 |
| 0 2 0 | 30.04 | 2.974 | 56 |
| 1 1 1 | 31.81 | 2.813 | 100 |
| 1 0 2 | 36.38 | 2.470 | 49 |
| 1 2 2 | 47.86 | 1.901 | 64 |

Cell and atoms:
```
data_HoSiPO
_chemical_formula_sum 'Ho2 Si2 P2 O2'
_cell_length_a 3.624
_cell_length_b 5.949
_cell_length_c 6.749
_cell_angle_alpha 90.00
_cell_angle_beta 90.00
_cell_angle_gamma 90.00
_symmetry_space_group_name_H-M 'P m c 21'
_symmetry_Int_Tables_number 26
loop_
_symmetry_equiv_pos_as_xyz
'x,y,z'
'-x,-y,z+1/2'
'-x,y,z'
'x,-y,z+1/2'
loop_
_atom_site_label
_atom_site_type_symbol
_atom_site_fract_x
_atom_site_fract_y
_atom_site_fract_z
Ho1 Ho 0.000 0.245 0.000
Si1 Si 0.500 0.137 0.591
P1 P 0.000 0.277 0.418
O1 O 0.500 0.268 0.814
```